(1)
For La3PmNd2, a PBE-relaxed structure gives the simulated powder diffractogram in this record (Cu Kα X-rays).
No peak broadening, texture or thermal motion is included.

Peak list (10 most intense, 2θ = 10–90°, most intense first)
29.5 deg, intensity 1000; 27.7 deg, intensity 613; 39.6 deg, intensity 452; 32.6 deg, intensity 399; 25.9 deg, intensity 290; 30.3 deg, intensity 252; 34.9 deg, intensity 213; 61.9 deg, intensity 197; 32.3 deg, intensity 170; 62.9 deg, intensity 167

Crystal structure
```
La3PmNd2
1.0
6.8982 0.0000 0.0000
0.0000 18.1411 0.0000
0.0000 0.0000 3.5025
La Pm Nd
6 2 4
direct
0.0000 0.0000 0.0000
0.2335 0.3196 0.0000
0.2665 0.8196 0.5000
0.5000 0.5000 0.5000
0.7335 0.1804 0.5000
0.7665 0.6804 0.0000
0.0000 0.5000 0.0000
0.5000 0.0000 0.5000
0.2278 0.1520 0.5000
0.2722 0.6520 0.0000
0.7278 0.3480 0.0000
0.7722 0.8480 0.5000
```

---

(2)
For LiHoAg3, a PBE-relaxed structure gives the simulated powder diffractogram in this record (Cu Kα X-rays).
No peak broadening, texture or thermal motion is included.

Peak list (10 most intense, 2θ = 10–90°, most intense first)
35.8 deg, intensity 1000; 33.8 deg, intensity 290; 31.5 deg, intensity 233; 61.8 deg, intensity 196; 46.9 deg, intensity 165; 67.1 deg, intensity 157; 56.0 deg, intensity 144; 15.6 deg, intensity 129; 68.3 deg, intensity 107; 45.6 deg, intensity 81

Crystal structure
```
LiHoAg3
1.0
6.5633 0.0000 0.0000
-3.2817 5.6840 0.0000
0.0000 0.0000 5.3046
Li Ho Ag
2 2 6
direct
0.0000 0.0000 0.0000
0.0000 0.0000 0.5000
0.3333 0.6667 0.2500
0.6667 0.3333 0.7500
0.1900 0.3801 0.7500
0.1900 0.8100 0.7500
0.3801 0.1900 0.2500
0.6199 0.8100 0.7500
0.8100 0.1900 0.2500
0.8100 0.6199 0.2500
```